(1)
For Cs2LiCrF6, a GGA+U-relaxed structure gives the computed X-ray powder pattern in this record (Cu Kα, 1.54184 Å).
Lines closer than 0.1° are merged.

Peak list (8 most intense, 2θ from 15° to 90°, by angle)
Position (°2θ)  intensity
23.59  100.0
28.20  59.0
37.09  69.2
38.33  15.0
47.23  22.8
48.26  17.1
56.84  17.4
63.79  15.3

Crystal structure
```
data_Cs2LiCrF6
_chemical_formula_sum 'Cs2 Li1 Cr1 F6'
_cell_length_a 6.329
_cell_length_b 6.329
_cell_length_c 5.197
_cell_angle_alpha 90.00
_cell_angle_beta 90.00
_cell_angle_gamma 120.00
_space_group_name_H-M_alt 'P 1'
_space_group_IT_number 1
loop_
_space_group_symop_operation_xyz
'x,y,z'
loop_
_atom_site_label
_atom_site_type_symbol
_atom_site_fract_x
_atom_site_fract_y
_atom_site_fract_z
Cs1 Cs 0.333 0.667 0.229
Cs2 Cs 0.667 0.333 0.771
Li1 Li 0.000 0.000 0.000
Cr1 Cr 0.000 0.000 0.500
F1 F 0.140 0.281 0.733
F2 F 0.140 0.860 0.733
F3 F 0.281 0.140 0.267
F4 F 0.719 0.860 0.733
F5 F 0.860 0.140 0.267
F6 F 0.860 0.719 0.267
```

---

(2)
For Cs2LiCr3F12, a GGA+U-relaxed structure gives the computed X-ray powder pattern in this record (Cu Kα, 1.54184 Å).
Lines closer than 0.1° are merged.

Peak list (8 most intense, 2θ from 15° to 90°, by angle)
Position (°2θ)  intensity
23.88  74.9
28.03  28.9
28.27  100.0
28.39  83.5
34.22  26.5
45.12  34.8
48.88  32.7
49.47  39.1

Crystal structure
```
data_Cs2LiCr3F12
_chemical_formula_sum 'Cs2 Li1 Cr3 F12'
_cell_length_a 7.455
_cell_length_b 7.455
_cell_length_c 7.455
_cell_angle_alpha 59.25
_cell_angle_beta 59.25
_cell_angle_gamma 59.25
_space_group_name_H-M_alt 'P 1'
_space_group_IT_number 1
loop_
_space_group_symop_operation_xyz
'x,y,z'
loop_
_atom_site_label
_atom_site_type_symbol
_atom_site_fract_x
_atom_site_fract_y
_atom_site_fract_z
Cs1 Cs 0.131 0.131 0.131
Cs2 Cs 0.869 0.869 0.869
Li1 Li 0.500 0.500 0.500
Cr1 Cr 0.000 0.500 0.500
Cr2 Cr 0.500 0.000 0.500
Cr3 Cr 0.500 0.500 0.000
F1 F 0.165 0.570 0.570
F2 F 0.184 0.184 0.572
F3 F 0.184 0.572 0.184
F4 F 0.428 0.816 0.816
F5 F 0.430 0.430 0.835
F6 F 0.430 0.835 0.430
F7 F 0.570 0.165 0.570
F8 F 0.570 0.570 0.165
F9 F 0.572 0.184 0.184
F10 F 0.816 0.428 0.816
F11 F 0.816 0.816 0.428
F12 F 0.835 0.430 0.430
```

---

(3)
For CsMnCrF6, a GGA+U-relaxed structure gives the computed X-ray powder pattern in this record (Cu Kα, 1.54184 Å).
Lines closer than 0.1° are merged.

Peak list (8 most intense, 2θ from 15° to 90°, by angle)
Position (°2θ)  intensity
23.33  89.5
27.32  94.8
27.46  85.5
27.72  100.0
28.59  25.6
43.47  25.6
44.01  37.9
47.71  83.8

Crystal structure
```
data_CsMnCrF6
_chemical_formula_sum 'Cs2 Mn2 Cr2 F12'
_cell_length_a 7.624
_cell_length_b 7.624
_cell_length_c 7.624
_cell_angle_alpha 120.98
_cell_angle_beta 119.90
_cell_angle_gamma 89.25
_space_group_name_H-M_alt 'P 1'
_space_group_IT_number 1
loop_
_space_group_symop_operation_xyz
'x,y,z'
loop_
_atom_site_label
_atom_site_type_symbol
_atom_site_fract_x
_atom_site_fract_y
_atom_site_fract_z
Cs1 Cs 0.379 0.129 0.250
Cs2 Cs 0.621 0.871 0.750
Mn1 Mn 0.000 0.500 0.500
Mn2 Mn 0.500 0.500 0.000
Cr1 Cr 0.000 0.000 0.500
Cr2 Cr 0.000 0.500 0.000
F1 F 0.057 0.807 0.250
F2 F 0.062 0.424 0.227
F3 F 0.062 0.834 0.638
F4 F 0.304 0.166 0.727
F5 F 0.304 0.576 0.138
F6 F 0.329 0.579 0.750
F7 F 0.671 0.421 0.250
F8 F 0.696 0.424 0.862
F9 F 0.696 0.834 0.273
F10 F 0.938 0.166 0.362
F11 F 0.938 0.576 0.773
F12 F 0.943 0.193 0.750
```

---

(4)
For Cs2TlCrF6, a GGA+U-relaxed structure gives the computed X-ray powder pattern in this record (Cu Kα, 1.54184 Å).
Lines closer than 0.1° are merged.

Peak list (8 most intense, 2θ from 15° to 90°, by angle)
Position (°2θ)  intensity
27.00  100.0
31.77  13.0
38.55  30.8
47.70  39.2
55.66  19.1
62.93  20.8
76.28  22.5
88.90  11.0

Crystal structure
```
data_Cs2TlCrF6
_chemical_formula_sum 'Cs2 Tl1 Cr1 F6'
_cell_length_a 6.605
_cell_length_b 6.605
_cell_length_c 6.605
_cell_angle_alpha 60.00
_cell_angle_beta 60.00
_cell_angle_gamma 60.00
_space_group_name_H-M_alt 'P 1'
_space_group_IT_number 1
loop_
_space_group_symop_operation_xyz
'x,y,z'
loop_
_atom_site_label
_atom_site_type_symbol
_atom_site_fract_x
_atom_site_fract_y
_atom_site_fract_z
Cs1 Cs 0.250 0.250 0.250
Cs2 Cs 0.750 0.750 0.750
Tl1 Tl 0.000 0.000 0.000
Cr1 Cr 0.500 0.500 0.500
F1 F 0.291 0.291 0.709
F2 F 0.291 0.709 0.291
F3 F 0.291 0.709 0.709
F4 F 0.709 0.291 0.291
F5 F 0.709 0.291 0.709
F6 F 0.709 0.709 0.291
```

---

(5)
For CsLiCrO4, a GGA+U-relaxed structure gives the computed X-ray powder pattern in this record (Cu Kα, 1.54184 Å).
Lines closer than 0.1° are merged.

Peak list (8 most intense, 2θ from 15° to 90°, by angle)
Position (°2θ)  intensity
17.80  17.2
17.94  25.2
20.33  22.3
26.50  100.0
26.58  56.3
31.10  19.7
31.22  22.3
31.40  20.1

Crystal structure
```
data_CsLiCrO4
_chemical_formula_sum 'Cs4 Li4 Cr4 O16'
_cell_length_a 5.730
_cell_length_b 9.139
_cell_length_c 11.395
_cell_angle_alpha 90.00
_cell_angle_beta 119.56
_cell_angle_gamma 90.00
_space_group_name_H-M_alt 'P 1'
_space_group_IT_number 1
loop_
_space_group_symop_operation_xyz
'x,y,z'
loop_
_atom_site_label
_atom_site_type_symbol
_atom_site_fract_x
_atom_site_fract_y
_atom_site_fract_z
Cs1 Cs 0.047 0.002 0.280
Cs2 Cs 0.047 0.498 0.780
Cs3 Cs 0.953 0.502 0.220
Cs4 Cs 0.953 0.998 0.720
Li1 Li 0.349 0.187 0.087
Li2 Li 0.349 0.313 0.587
Li3 Li 0.651 0.687 0.413
Li4 Li 0.651 0.813 0.913
Cr1 Cr 0.313 0.709 0.574
Cr2 Cr 0.313 0.791 0.074
Cr3 Cr 0.687 0.209 0.926
Cr4 Cr 0.687 0.291 0.426
O1 O 0.006 0.735 0.959
O2 O 0.006 0.765 0.459
O3 O 0.324 0.528 0.575
O4 O 0.324 0.972 0.075
O5 O 0.379 0.730 0.226
O6 O 0.379 0.770 0.726
O7 O 0.464 0.224 0.466
O8 O 0.464 0.276 0.966
O9 O 0.536 0.724 0.034
O10 O 0.536 0.776 0.534
O11 O 0.621 0.230 0.274
O12 O 0.621 0.270 0.774
O13 O 0.676 0.028 0.925
O14 O 0.676 0.472 0.425
O15 O 0.994 0.235 0.541
O16 O 0.994 0.265 0.041
```

---

(6)
For CsMg14CrO16, a GGA+U-relaxed structure gives the computed X-ray powder pattern in this record (Cu Kα, 1.54184 Å).
Lines closer than 0.1° are merged.

Peak list (8 most intense, 2θ from 15° to 90°, by angle)
Position (°2θ)  intensity
35.20  74.9
40.62  100.0
40.91  94.5
41.10  92.3
59.01  56.2
59.16  55.2
59.38  52.8
74.43  49.4

Crystal structure
```
data_CsMg14CrO16
_chemical_formula_sum 'Cs1 Mg14 Cr1 O16'
_cell_length_a 4.442
_cell_length_b 8.785
_cell_length_c 8.824
_cell_angle_alpha 90.00
_cell_angle_beta 90.00
_cell_angle_gamma 90.00
_space_group_name_H-M_alt 'P 1'
_space_group_IT_number 1
loop_
_space_group_symop_operation_xyz
'x,y,z'
loop_
_atom_site_label
_atom_site_type_symbol
_atom_site_fract_x
_atom_site_fract_y
_atom_site_fract_z
Cs1 Cs 0.000 0.000 0.000
Mg1 Mg 0.000 0.257 0.252
Mg2 Mg 0.000 0.257 0.748
Mg3 Mg 0.000 0.500 0.000
Mg4 Mg 0.000 0.500 0.500
Mg5 Mg 0.000 0.743 0.252
Mg6 Mg 0.000 0.743 0.748
Mg7 Mg 0.500 0.000 0.260
Mg8 Mg 0.500 0.000 0.740
Mg9 Mg 0.500 0.252 0.500
Mg10 Mg 0.500 0.264 0.000
Mg11 Mg 0.500 0.500 0.251
Mg12 Mg 0.500 0.500 0.749
Mg13 Mg 0.500 0.736 0.000
Mg14 Mg 0.500 0.748 0.500
Cr1 Cr 0.000 0.000 0.500
O1 O 0.000 0.000 0.283
O2 O 0.000 0.000 0.717
O3 O 0.000 0.249 0.500
O4 O 0.000 0.286 0.000
O5 O 0.000 0.500 0.261
O6 O 0.000 0.500 0.739
O7 O 0.000 0.714 0.000
O8 O 0.000 0.751 0.500
O9 O 0.500 0.000 0.000
O10 O 0.500 0.000 0.500
O11 O 0.500 0.249 0.250
O12 O 0.500 0.249 0.750
O13 O 0.500 0.500 0.000
O14 O 0.500 0.500 0.500
O15 O 0.500 0.751 0.250
O16 O 0.500 0.751 0.750
```

---

Question: Which formula does entry 6 have?
Answer: CsMg14CrO16